Entry 1:
Rb3Zr2P5S18: theoretical X-ray diffraction stick pattern (Cu Kα), based on a PBE-relaxed structure.
Kinematic intensities with the Lorentz-polarization factor, no thermal factor.

Cell lengths 9.577, 10.104, 34.129 Å; angles 90.00, 95.36, 90.00 degrees
Space group Cc (No. 9)
Unique sites:
Rb1 0.000 0.090 0.000 (multiplicity 4)
Rb2 0.023 0.406 0.204 (multiplicity 4)
Rb3 0.427 0.119 0.889 (multiplicity 4)
Zr1 0.074 0.071 0.789 (multiplicity 4)
Zr2 0.463 0.291 0.098 (multiplicity 4)
P1 0.040 0.226 0.874 (multiplicity 4)
P2 0.049 0.140 0.693 (multiplicity 4)
P3 0.093 0.284 0.513 (multiplicity 4)
P4 0.171 0.465 0.079 (multiplicity 4)
P5 0.254 0.205 0.309 (multiplicity 4)
S1 0.014 0.463 0.610 (multiplicity 4)
S2 0.041 0.195 0.304 (multiplicity 4)
S3 0.045 0.027 0.864 (multiplicity 4)
S4 0.114 0.296 0.926 (multiplicity 4)
S5 0.127 0.299 0.826 (multiplicity 4)
S6 0.136 0.494 0.518 (multiplicity 4)
S7 0.153 0.236 0.461 (multiplicity 4)
S8 0.161 0.242 0.738 (multiplicity 4)
S9 0.165 0.110 0.647 (multiplicity 4)
S10 0.176 0.265 0.085 (multiplicity 4)
S11 0.192 0.187 0.561 (multiplicity 4)
S12 0.308 0.366 0.277 (multiplicity 4)
S13 0.319 0.220 0.370 (multiplicity 4)
S14 0.328 0.027 0.290 (multiplicity 4)
S15 0.367 0.467 0.598 (multiplicity 4)
S16 0.378 0.256 0.169 (multiplicity 4)
S17 0.387 0.239 0.024 (multiplicity 4)
S18 0.497 0.468 0.720 (multiplicity 4)

Principal peaks in the range 2θ = 5–70°, by intensity:
Position (°2θ)	I (rel.)	index
18.61	100	2 0 0
10.41	92	0 0 4
12.83	91	1 1 -1
29.49	88	2 0 8
17.75	84	0 2 1
30.70	76	1 3 -5
26.23	73	0 0 10
31.20	70	3 1 3
13.46	67	1 1 -2
13.20	65	1 1 1

=====

Entry 2:
Bi2Se: theoretical X-ray diffraction stick pattern (Cu Kα), based on a PBE-relaxed structure.
Kinematic intensities with the Lorentz-polarization factor, no thermal factor.

Cell lengths 4.220, 14.435, 12.004 Å; angles 90.00, 90.00, 90.00 degrees
Space group Cmce (No. 64)
Unique sites:
Bi1 0.000 0.002 0.140 (multiplicity 8)
Bi2 0.000 0.176 0.626 (multiplicity 8)
Se1 0.000 0.168 0.396 (multiplicity 8)

Principal peaks in the range 2θ = 5–70°, by intensity:
Position (°2θ)	I (rel.)	index
29.11	100	1 3 1
36.13	64	1 3 3
29.77	45	0 0 4
66.66	28	2 6 4
37.38	27	0 6 0
48.50	23	0 6 4
42.86	19	2 0 0
53.05	19	2 0 4
47.49	19	1 3 5
26.55	16	1 1 2

=====

Entry 3:
IrO3: theoretical X-ray diffraction stick pattern (Cu Kα), based on a PBE-relaxed structure.
Kinematic intensities with the Lorentz-polarization factor, no thermal factor.

Cell lengths 3.763, 7.353, 7.372 Å; angles 90.00, 90.00, 90.00 degrees
Space group Amm2 (No. 38)
Unique sites:
Ir1 0.000 0.248 0.000 (multiplicity 4)
O1 0.000 0.000 0.093 (multiplicity 2)
O2 0.000 0.000 0.431 (multiplicity 2)
O3 0.000 0.169 0.755 (multiplicity 4)
O4 0.500 0.248 0.004 (multiplicity 4)

Principal peaks in the range 2θ = 5–70°, by intensity:
Position (°2θ)	I (rel.)	index
24.17	100	0 2 0
23.64	58	1 0 0
34.07	57	1 2 0
34.45	37	0 2 2
42.21	29	1 2 2
61.47	28	1 4 2
55.84	25	0 4 2
54.79	22	2 2 0
60.73	15	2 2 2
48.37	11	2 0 0

=====

Entry 4:
Li3Cu2F8: theoretical X-ray diffraction stick pattern (Cu Kα), based on a PBE-relaxed structure.
Kinematic intensities with the Lorentz-polarization factor, no thermal factor.

Cell lengths 5.449, 5.776, 6.046 Å; angles 62.06, 68.02, 68.04 degrees
Space group P1 (No. 1)
Unique sites:
Li1 0.000 0.000 0.000 (multiplicity 1)
Li2 0.035 0.115 0.504 (multiplicity 1)
Li3 0.207 0.367 0.948 (multiplicity 1)
Cu1 0.567 0.675 0.218 (multiplicity 1)
Cu2 0.622 0.690 0.703 (multiplicity 1)
F1 0.261 0.980 0.184 (multiplicity 1)
F2 0.306 0.981 0.692 (multiplicity 1)
F3 0.428 0.522 0.070 (multiplicity 1)
F4 0.438 0.518 0.621 (multiplicity 1)
F5 0.747 0.848 0.318 (multiplicity 1)
F6 0.799 0.868 0.796 (multiplicity 1)
F7 0.887 0.395 0.227 (multiplicity 1)
F8 0.919 0.375 0.747 (multiplicity 1)

Principal peaks in the range 2θ = 5–70°, by intensity:
Position (°2θ)	I (rel.)	index
17.92	100	0 1 0
22.21	89	1 1 0
18.10	81	1 0 0
34.62	46	0 0 2
28.56	45	1 -1 0
40.66	39	2 2 2
44.84	23	1 -2 0
30.12	23	1 1 2
45.30	22	0 1 -2
43.28	21	1 0 -2

=====

Entry 5:
Ba5Ta2Cl2O9: theoretical X-ray diffraction stick pattern (Cu Kα), based on a PBE-relaxed structure.
Kinematic intensities with the Lorentz-polarization factor, no thermal factor.

Cell lengths 6.0454, 6.0454, 25.0996 Å; angles 90.00, 90.00, 120.00 degrees
Space group P6_3/mmc (No. 194)
Unique sites:
Ba1 0.3333 0.6667 0.0817 (multiplicity 4)
Ba2 0.3333 0.6667 0.2500 (multiplicity 2)
Ba3 0.3333 0.6667 0.6721 (multiplicity 4)
Ta1 0.0000 0.0000 0.1896 (multiplicity 4)
Cl1 0.3333 0.6667 0.5467 (multiplicity 4)
O1 0.1478 0.2957 0.7500 (multiplicity 6)
O2 0.1619 0.3238 0.1550 (multiplicity 12)

Principal peaks in the range 2θ = 5–70°, by intensity:
Position (°2θ)	I (rel.)	index
7.04	100	0 0 2
29.55	69	1 1 0
30.21	26	1 0 7
18.36	24	1 0 2
41.48	20	1 1 8
24.57	19	1 0 5
27.29	15	1 0 6
42.77	15	2 0 7
38.80	14	2 0 5
52.43	14	3 0 0

=====

Entry 6:
Tb6RuBr10: theoretical X-ray diffraction stick pattern (Cu Kα), based on a PBE-relaxed structure.
Kinematic intensities with the Lorentz-polarization factor, no thermal factor.

Cell lengths 7.382, 9.235, 9.283 Å; angles 108.83, 97.12, 105.92 degrees
Space group P-1 (No. 2)
Unique sites:
Tb1 0.023 0.201 0.406 (multiplicity 2)
Tb2 0.122 0.544 0.250 (multiplicity 2)
Tb3 0.365 0.641 0.682 (multiplicity 2)
Ru1 0.000 0.500 0.500 (multiplicity 1)
Br1 0.089 0.870 0.326 (multiplicity 2)
Br2 0.201 0.236 0.145 (multiplicity 2)
Br3 0.259 0.586 0.961 (multiplicity 2)
Br4 0.363 0.963 0.778 (multiplicity 2)
Br5 0.450 0.322 0.585 (multiplicity 2)

Principal peaks in the range 2θ = 5–70°, by intensity:
Position (°2θ)	I (rel.)	index
30.33	100	1 1 -3
30.10	97	2 0 1
30.76	92	1 -3 0
43.59	69	1 -1 4
10.35	63	0 0 1
10.74	62	0 1 0
44.61	34	1 3 1
42.90	33	3 1 -2
42.51	33	3 -3 1
43.93	32	-2 2 3

=====

Entry 7:
Co4Re: theoretical X-ray diffraction stick pattern (Cu Kα), based on a PBE-relaxed structure.
Kinematic intensities with the Lorentz-polarization factor, no thermal factor.

Cell lengths 2.6025, 2.6025, 30.7987 Å; angles 90.00, 90.00, 120.00 degrees
Space group R-3m (No. 166, hexagonal axes)
Unique sites:
Co1 0.0000 0.0000 0.0962 (multiplicity 6)
Co2 0.0000 0.0000 0.3012 (multiplicity 6)
Re1 0.0000 0.0000 0.5000 (multiplicity 3)

Principal peaks in the range 2θ = 5–70°, by intensity:
Position (°2θ)	I (rel.)	index
42.72	100	0 1 5
8.61	91	0 0 3
50.16	61	1 0 10
44.11	29	0 0 15
17.28	23	0 0 6
26.04	11	0 0 9
40.45	11	0 1 2
45.20	10	1 0 7
40.11	10	1 0 1
41.76	9	1 0 4

=====

Entry 8:
Li3ScF6: theoretical X-ray diffraction stick pattern (Cu Kα), based on a PBE-relaxed structure.
Kinematic intensities with the Lorentz-polarization factor, no thermal factor.

Cell lengths 7.944, 7.944, 7.944 Å; angles 90.00, 90.00, 90.00 degrees
Space group Fm-3m (No. 225)
Unique sites:
Li1 0.000 0.000 0.000 (multiplicity 4)
Li2 0.250 0.250 0.250 (multiplicity 8)
Sc1 0.000 0.000 0.500 (multiplicity 4)
F1 0.000 0.000 0.248 (multiplicity 24)

Principal peaks in the range 2θ = 5–70°, by intensity:
Position (°2θ)	I (rel.)	index
22.38	100	2 0 0
45.68	62	4 0 0
19.35	43	1 1 1
51.44	32	4 2 0
66.59	31	4 4 0
39.29	26	2 2 2
37.55	24	3 1 1
50.05	11	3 3 1
60.57	6	3 3 3
31.86	5	2 2 0

=====

Q: Which formula does entry 3 have?
A: IrO3

=====

Q: What is the formula in the eighth record?
A: Li3ScF6